Record 1
Starting from a cell relaxed with PBE, the powder XRD pattern of Dy2Tc2B2C was computed for copper Kα.
No peak broadening, texture or thermal motion is included.

The 10 most intense peaks (10 to 90 degrees two-theta), most intense first:
- 2θ 38.11, I 100, (1 1 -2)
- 2θ 35.29, I 96, (3 1 -1)
- 2θ 33.00, I 74, (2 0 1)
- 2θ 27.03, I 46, (1 1 0)
- 2θ 62.43, I 40, (2 2 1)
- 2θ 26.62, I 35, (2 0 -2)
- 2θ 34.06, I 33, (4 0 -2)
- 2θ 58.47, I 27, (5 1 0)
- 2θ 33.65, I 27, (4 0 -1)
- 2θ 51.36, I 26, (0 2 0)

Structural model:
```
data_Dy2Tc2B2C
_chemical_formula_sum 'Dy4 Tc4 B4 C2'
_symmetry_space_group_name_H-M 'C 1 2/m 1'
_symmetry_Int_Tables_number 12
_symmetry_space_group_name_Hall '-C 2y'
_cell_length_a 10.9286
_cell_length_b 3.5580
_cell_length_c 6.6984
_cell_angle_alpha 90.00
_cell_angle_beta 126.30
_cell_angle_gamma 90.00
loop_
_atom_site_label
_atom_site_type_symbol
_atom_site_fract_x
_atom_site_fract_y
_atom_site_fract_z
_atom_site_occupancy
Dy1 Dy 0.0705 0.0000 0.3253 1
Tc1 Tc 0.2054 0.5000 0.0964 1
B1 B 0.1613 0.5000 0.7222 1
C1 C 0.0000 0.5000 0.0000 1
```

=====

Record 2
Starting from a cell relaxed with PBE, the powder XRD pattern of Na2TmGaSe4 was computed for copper Kα.
No peak broadening, texture or thermal motion is included.

The 10 most intense peaks (10 to 90 degrees two-theta), most intense first:
- 2θ 31.27, I 100, (2 2 0)
- 2θ 44.44, I 74, (2 2 4)
- 2θ 30.77, I 54, (0 0 4)
- 2θ 13.53, I 49, (1 0 1)
- 2θ 56.20, I 21, (4 0 4)
- 2θ 25.47, I 20, (1 2 1)
- 2θ 13.14, I 19, (0 1 1)
- 2θ 45.81, I 18, (4 0 0)
- 2θ 54.46, I 17, (0 4 4)
- 2θ 43.78, I 17, (0 4 0)

Structural model:
```
data_Na2TmGaSe4
_chemical_formula_sum 'Na8 Tm4 Ga4 Se16'
_symmetry_space_group_name_H-M 'I m m a'
_symmetry_Int_Tables_number 74
_symmetry_space_group_name_Hall '-I 2b 2'
_cell_length_a 7.9224
_cell_length_b 8.2711
_cell_length_c 11.6247
_cell_angle_alpha 90.00
_cell_angle_beta 90.00
_cell_angle_gamma 90.00
loop_
_atom_site_label
_atom_site_type_symbol
_atom_site_fract_x
_atom_site_fract_y
_atom_site_fract_z
_atom_site_occupancy
Na1 Na 0.0000 0.0000 0.0000 1
Na2 Na 0.2500 0.2500 0.2500 1
Tm1 Tm 0.0000 0.0000 0.5000 1
Ga1 Ga 0.2500 0.2500 0.7500 1
Se1 Se 0.0000 0.0345 0.7461 1
Se2 Se 0.2417 0.2500 0.5081 1
```

=====

Record 3
Starting from a cell relaxed with PBE, the powder XRD pattern of LiCaTlTeSeF was computed for copper Kα.
No peak broadening, texture or thermal motion is included.

The 10 most intense peaks (10 to 90 degrees two-theta), most intense first:
- 2θ 11.11, I 100, (2 0 0)
- 2θ 28.46, I 86, (1 1 -1)
- 2θ 22.32, I 47, (4 0 0)
- 2θ 30.88, I 41, (3 1 -1)
- 2θ 36.03, I 36, (3 1 1)
- 2θ 30.38, I 34, (1 1 1)
- 2θ 20.50, I 33, (1 1 0)
- 2θ 40.05, I 26, (0 2 0)
- 2θ 36.89, I 24, (5 1 -1)
- 2θ 41.30, I 22, (2 0 -2)

Structural model:
```
data_LiCaTlTeSeF
_chemical_formula_sum 'Li2 Ca2 Tl2 Te2 Se2 F2'
_symmetry_space_group_name_H-M 'C 1 m 1'
_symmetry_Int_Tables_number 8
_symmetry_space_group_name_Hall 'C -2y'
_cell_length_a 16.3928
_cell_length_b 4.5025
_cell_length_c 4.3742
_cell_angle_alpha 90.00
_cell_angle_beta 103.59
_cell_angle_gamma 90.00
loop_
_atom_site_label
_atom_site_type_symbol
_atom_site_fract_x
_atom_site_fract_y
_atom_site_fract_z
_atom_site_occupancy
Li1 Li 0.0000 0.0000 0.0000 1
Ca1 Ca 0.3783 0.0000 0.6357 1
Tl1 Tl 0.1750 0.5000 0.4684 1
Te1 Te 0.2172 0.0000 0.0036 1
Se1 Se 0.0008 0.5000 0.2547 1
F1 F 0.3955 0.5000 0.6970 1
```

=====

Record 4
Starting from a cell relaxed with PBE, the powder XRD pattern of TbPr2CdO was computed for copper Kα.
No peak broadening, texture or thermal motion is included.

The 10 most intense peaks (10 to 90 degrees two-theta), most intense first:
- 2θ 31.23, I 100, (1 1 1)
- 2θ 35.46, I 40, (2 0 0)
- 2θ 61.04, I 30, (3 1 1)
- 2θ 52.70, I 25, (2 0 2)
- 2θ 37.68, I 17, (0 0 2)
- 2θ 51.02, I 14, (2 2 0)
- 2θ 65.13, I 13, (2 2 2)
- 2θ 64.02, I 13, (1 1 3)
- 2θ 86.15, I 12, (3 1 3)
- 2θ 85.84, I 6, (4 2 0)

Structural model:
```
data_TbPr2CdO
_chemical_formula_sum 'Tb1 Pr2 Cd1 O1'
_symmetry_space_group_name_H-M 'P 4/m m m'
_symmetry_Int_Tables_number 123
_symmetry_space_group_name_Hall '-P 4 2'
_cell_length_a 5.0628
_cell_length_b 5.0628
_cell_length_c 4.7749
_cell_angle_alpha 90.00
_cell_angle_beta 90.00
_cell_angle_gamma 90.00
loop_
_atom_site_label
_atom_site_type_symbol
_atom_site_fract_x
_atom_site_fract_y
_atom_site_fract_z
_atom_site_occupancy
Tb1 Tb 0.0000 0.0000 0.0000 1
Pr1 Pr 0.0000 0.5000 0.5000 1
Cd1 Cd 0.5000 0.5000 0.0000 1
O1 O 0.0000 0.0000 0.5000 1
```

=====

Record 5
Starting from a cell relaxed with PBE, the powder XRD pattern of Sr2PuCdS5 was computed for copper Kα.
No peak broadening, texture or thermal motion is included.

The 10 most intense peaks (10 to 90 degrees two-theta), most intense first:
- 2θ 30.73, I 100, (1 1 3)
- 2θ 31.76, I 67, (0 6 1)
- 2θ 23.34, I 65, (0 2 3)
- 2θ 27.54, I 48, (1 3 1)
- 2θ 13.93, I 46, (0 0 2)
- 2θ 36.74, I 46, (1 5 2)
- 2θ 44.03, I 40, (2 0 0)
- 2θ 17.30, I 33, (0 2 2)
- 2θ 26.61, I 31, (1 3 0)
- 2θ 55.32, I 27, (2 6 1)

Structural model:
```
data_Sr2PuCdS5
_chemical_formula_sum 'Sr8 Pu4 Cd4 S20'
_symmetry_space_group_name_H-M 'C m c 21'
_symmetry_Int_Tables_number 36
_symmetry_space_group_name_Hall 'C 2c -2'
_cell_length_a 4.1111
_cell_length_b 17.3346
_cell_length_c 12.7165
_cell_angle_alpha 90.00
_cell_angle_beta 90.00
_cell_angle_gamma 90.00
loop_
_atom_site_label
_atom_site_type_symbol
_atom_site_fract_x
_atom_site_fract_y
_atom_site_fract_z
_atom_site_occupancy
Sr1 Sr 0.0000 0.1015 0.0000 1
Sr2 Sr 0.0000 0.1266 0.6342 1
Pu1 Pu 0.0000 0.2142 0.3439 1
Cd1 Cd 0.0000 0.4550 0.7769 1
S1 S 0.0000 0.0623 0.3899 1
S2 S 0.0000 0.2791 0.9837 1
S3 S 0.0000 0.3002 0.7058 1
S4 S 0.0000 0.3663 0.3243 1
S5 S 0.0000 0.4971 0.0947 1
```

=====

Record 6
Starting from a cell relaxed with PBE, the powder XRD pattern of Dy8Tm2Pu was computed for copper Kα.
No peak broadening, texture or thermal motion is included.

The 10 most intense peaks (10 to 90 degrees two-theta), most intense first:
- 2θ 32.26, I 100, (2 2 0)
- 2θ 33.20, I 75, (2 0 2)
- 2θ 32.41, I 61, (0 2 2)
- 2θ 32.75, I 31, (4 0 -2)
- 2θ 31.30, I 28, (3 1 0)
- 2θ 28.13, I 28, (3 1 -2)
- 2θ 58.64, I 24, (4 2 -6)
- 2θ 64.32, I 22, (2 4 2)
- 2θ 58.16, I 20, (6 2 -4)
- 2θ 36.44, I 20, (2 2 -3)

Structural model:
```
data_Dy8Tm2Pu
_chemical_formula_sum 'Dy16 Tm4 Pu2'
_symmetry_space_group_name_H-M 'C 1 2/m 1'
_symmetry_Int_Tables_number 12
_symmetry_space_group_name_Hall '-C 2y'
_cell_length_a 10.9368
_cell_length_b 6.8656
_cell_length_c 10.7895
_cell_angle_alpha 90.00
_cell_angle_beta 120.38
_cell_angle_gamma 90.00
loop_
_atom_site_label
_atom_site_type_symbol
_atom_site_fract_x
_atom_site_fract_y
_atom_site_fract_z
_atom_site_occupancy
Dy1 Dy 0.0584 0.0000 0.3777 1
Dy2 Dy 0.1235 0.5000 0.9413 1
Dy3 Dy 0.2426 0.2511 0.7304 1
Tm1 Tm 0.0885 0.5000 0.4158 1
Pu1 Pu 0.0000 0.0000 0.0000 1
```

=====

Record 7
Starting from a cell relaxed with PBE, the powder XRD pattern of Pm2BrCl2 was computed for copper Kα.
No peak broadening, texture or thermal motion is included.

The 10 most intense peaks (10 to 90 degrees two-theta), most intense first:
- 2θ 45.18, I 100, (4 2 -2)
- 2θ 32.01, I 98, (0 2 0)
- 2θ 31.04, I 97, (4 0 -2)
- 2θ 31.60, I 86, (2 0 2)
- 2θ 11.55, I 71, (0 0 1)
- 2θ 19.58, I 62, (1 1 -1)
- 2θ 45.59, I 61, (2 2 2)
- 2θ 32.62, I 55, (3 1 1)
- 2θ 37.13, I 50, (1 1 -3)
- 2θ 26.64, I 41, (3 1 -1)

Structural model:
```
data_Pm2BrCl2
_chemical_formula_sum 'Pm8 Br4 Cl8'
_symmetry_space_group_name_H-M 'C 1 2/m 1'
_symmetry_Int_Tables_number 12
_symmetry_space_group_name_Hall '-C 2y'
_cell_length_a 12.7848
_cell_length_b 5.5924
_cell_length_c 8.1255
_cell_angle_alpha 90.00
_cell_angle_beta 109.52
_cell_angle_gamma 90.00
loop_
_atom_site_label
_atom_site_type_symbol
_atom_site_fract_x
_atom_site_fract_y
_atom_site_fract_z
_atom_site_occupancy
Pm1 Pm 0.0010 0.0000 0.2814 1
Pm2 Pm 0.1464 0.5000 0.5683 1
Br1 Br 0.1649 0.0000 0.0893 1
Cl1 Cl 0.0064 0.5000 0.7811 1
Cl2 Cl 0.1885 0.0000 0.6053 1
```

=====

Record 8
Starting from a cell relaxed with PBE, the powder XRD pattern of Pr3Dy2Te5 was computed for copper Kα.
No peak broadening, texture or thermal motion is included.

The 10 most intense peaks (10 to 90 degrees two-theta), most intense first:
- 2θ 28.30, I 100, (3 1 -2)
- 2θ 40.59, I 38, (0 2 0)
- 2θ 40.31, I 38, (1 1 -4)
- 2θ 50.26, I 14, (2 2 2)
- 2θ 58.53, I 12, (6 2 -4)
- 2θ 66.43, I 11, (8 2 -2)
- 2θ 66.11, I 11, (4 2 -6)
- 2θ 73.73, I 10, (1 3 -4)
- 2θ 50.13, I 7, (8 0 -2)
- 2θ 49.74, I 7, (4 0 -6)

Structural model:
```
data_Pr3Dy2Te5
_chemical_formula_sum 'Pr6 Dy4 Te10'
_symmetry_space_group_name_H-M 'C 1 2/m 1'
_symmetry_Int_Tables_number 12
_symmetry_space_group_name_Hall '-C 2y'
_cell_length_a 14.8057
_cell_length_b 4.4409
_cell_length_c 10.9983
_cell_angle_alpha 90.00
_cell_angle_beta 119.81
_cell_angle_gamma 90.00
loop_
_atom_site_label
_atom_site_type_symbol
_atom_site_fract_x
_atom_site_fract_y
_atom_site_fract_z
_atom_site_occupancy
Pr1 Pr 0.0000 0.0000 0.0000 1
Pr2 Pr 0.2090 0.0000 0.8057 1
Dy1 Dy 0.0963 0.5000 0.4017 1
Te1 Te 0.0000 0.0000 0.5000 1
Te2 Te 0.0955 0.5000 0.8885 1
Te3 Te 0.1977 0.0000 0.3136 1
```

=====

Record 9
Starting from a cell relaxed with PBE, the powder XRD pattern of NdH3Rh2 was computed for copper Kα.
No peak broadening, texture or thermal motion is included.

The 10 most intense peaks (10 to 90 degrees two-theta), most intense first:
- 2θ 23.38, I 100, (1 1 1)
- 2θ 33.84, I 88, (2 2 0)
- 2θ 39.53, I 73, (0 2 2)
- 2θ 42.18, I 56, (2 0 2)
- 2θ 62.62, I 30, (3 3 2)
- 2θ 35.06, I 29, (1 3 0)
- 2θ 40.71, I 27, (3 1 0)
- 2θ 44.09, I 19, (3 1 1)
- 2θ 37.01, I 18, (1 1 2)
- 2θ 62.43, I 18, (2 4 2)

Structural model:
```
data_NdH3Rh2
_chemical_formula_sum 'Nd4 H12 Rh8'
_symmetry_space_group_name_H-M 'C m c m'
_symmetry_Int_Tables_number 63
_symmetry_space_group_name_Hall '-C 2c 2'
_cell_length_a 6.9019
_cell_length_b 8.2678
_cell_length_c 5.4657
_cell_angle_alpha 90.00
_cell_angle_beta 90.00
_cell_angle_gamma 90.00
loop_
_atom_site_label
_atom_site_type_symbol
_atom_site_fract_x
_atom_site_fract_y
_atom_site_fract_z
_atom_site_occupancy
Nd1 Nd 0.0000 0.2030 0.2500 1
H1 H 0.0000 0.4813 0.7500 1
H2 H 0.1618 0.0704 0.7500 1
Rh1 Rh 0.2008 0.5000 0.0000 1
```

=====

Record 10
Starting from a cell relaxed with PBE, the powder XRD pattern of ZrCd2Au was computed for copper Kα.
No peak broadening, texture or thermal motion is included.

The 10 most intense peaks (10 to 90 degrees two-theta), most intense first:
- 2θ 37.03, I 100, (2 0 0)
- 2θ 66.77, I 23, (3 1 2)
- 2θ 66.65, I 12, (2 0 4)
- 2θ 53.43, I 11, (2 2 0)
- 2θ 78.80, I 7, (2 2 4)
- 2θ 22.43, I 6, (1 0 1)
- 2θ 53.25, I 6, (0 0 4)
- 2θ 25.95, I 5, (1 1 0)
- 2θ 78.95, I 4, (4 0 0)
- 2θ 43.75, I 2, (2 1 1)

Structural model:
```
data_ZrCd2Au
_chemical_formula_sum 'Zr2 Cd4 Au2'
_symmetry_space_group_name_H-M 'I -4 m 2'
_symmetry_Int_Tables_number 119
_symmetry_space_group_name_Hall 'I -4 -2'
_cell_length_a 4.8506
_cell_length_b 4.8506
_cell_length_c 6.8812
_cell_angle_alpha 90.00
_cell_angle_beta 90.00
_cell_angle_gamma 90.00
loop_
_atom_site_label
_atom_site_type_symbol
_atom_site_fract_x
_atom_site_fract_y
_atom_site_fract_z
_atom_site_occupancy
Zr1 Zr 0.0000 0.0000 0.0000 1
Cd1 Cd 0.0000 0.0000 0.5000 1
Cd2 Cd 0.0000 0.5000 0.2500 1
Au1 Au 0.0000 0.5000 0.7500 1
```

=====

Record 11
Starting from a cell relaxed with PBE, the powder XRD pattern of DyB12 was computed for copper Kα.
No peak broadening, texture or thermal motion is included.

The 10 most intense peaks (10 to 90 degrees two-theta), most intense first:
- 2θ 39.88, I 100, (3 1 1)
- 2θ 20.52, I 94, (1 1 1)
- 2θ 23.73, I 73, (2 0 0)
- 2θ 33.81, I 43, (2 2 0)
- 2θ 53.25, I 33, (3 3 1)
- 2θ 74.93, I 31, (5 3 1)
- 2θ 41.73, I 30, (2 2 2)
- 2θ 60.49, I 29, (4 2 2)
- 2θ 54.75, I 24, (4 2 0)
- 2θ 76.18, I 21, (6 0 0)

Structural model:
```
data_DyB12
_chemical_formula_sum 'Dy4 B48'
_symmetry_space_group_name_H-M 'F m -3 m'
_symmetry_Int_Tables_number 225
_symmetry_space_group_name_Hall '-F 4 2 3'
_cell_length_a 7.4981
_cell_length_b 7.4981
_cell_length_c 7.4981
_cell_angle_alpha 90.00
_cell_angle_beta 90.00
_cell_angle_gamma 90.00
loop_
_atom_site_label
_atom_site_type_symbol
_atom_site_fract_x
_atom_site_fract_y
_atom_site_fract_z
_atom_site_occupancy
Dy1 Dy 0.0000 0.0000 0.0000 1
B1 B 0.0000 0.1688 0.3312 1
```

=====

Record 12
Starting from a cell relaxed with PBE, the powder XRD pattern of LiSmEr4Se8 was computed for copper Kα.
No peak broadening, texture or thermal motion is included.

The 10 most intense peaks (10 to 90 degrees two-theta), most intense first:
- 2θ 30.30, I 100, (0 2 4)
- 2θ 25.08, I 78, (0 2 1)
- 2θ 43.20, I 63, (2 0 8)
- 2θ 43.57, I 62, (2 2 0)
- 2θ 13.03, I 35, (1 0 1)
- 2θ 24.90, I 25, (0 1 5)
- 2θ 39.71, I 23, (1 2 5)
- 2θ 63.03, I 20, (0 4 8)
- 2θ 79.75, I 20, (4 2 8)
- 2θ 53.99, I 19, (4 0 4)

Structural model:
```
data_LiSmEr4Se8
_chemical_formula_sum 'Li3 Sm3 Er12 Se24'
_symmetry_space_group_name_H-M 'R 3 m'
_symmetry_Int_Tables_number 160
_symmetry_space_group_name_Hall 'R 3 -2"'
_cell_length_a 8.3083
_cell_length_b 8.3083
_cell_length_c 20.6075
_cell_angle_alpha 90.00
_cell_angle_beta 90.00
_cell_angle_gamma 120.00
loop_
_atom_site_label
_atom_site_type_symbol
_atom_site_fract_x
_atom_site_fract_y
_atom_site_fract_z
_atom_site_occupancy
Li1 Li 0.0000 0.0000 0.0000 1
Sm1 Sm 0.0000 0.0000 0.3698 1
Er1 Er 0.0000 0.0000 0.7484 1
Er2 Er 0.0142 0.5071 0.8763 1
Se1 Se 0.0000 0.0000 0.1306 1
Se2 Se 0.0000 0.0000 0.6156 1
Se3 Se 0.0175 0.5088 0.1297 1
Se4 Se 0.1720 0.3440 0.9539 1
```